Entry 1:
For CaGa2Cu3Ru2O12, DFT lattice parameters and positions (PBE) gives the calculated powder X-ray diffraction pattern in this record (copper Kα).
Neutral-atom scattering factors, no anomalous dispersion.

Main lines, by intensity (2θ from 10° to 90°):
2θ (°), d (Å), I (rel.)
34.06, 2.632, 100
60.97, 1.520, 48
48.94, 1.861, 25
81.83, 1.177, 16
71.72, 1.316, 12
23.91, 3.722, 7
55.18, 1.665, 4
38.23, 2.354, 4
20.67, 4.298, 3
29.39, 3.039, 2

Structure:
Cell lengths 7.444, 7.444, 7.444 Å; angles 90.00, 90.00, 90.00 degrees
Fractional coordinates of all 40 atoms:
Ca  0.250  0.250  0.250
Ca  0.750  0.750  0.750
Ga  0.000  0.000  0.000
Ga  0.000  0.500  0.500
Ga  0.500  0.000  0.500
Ga  0.500  0.500  0.000
Cu  0.250  0.250  0.750
Cu  0.250  0.750  0.250
Cu  0.250  0.750  0.750
Cu  0.750  0.250  0.250
Cu  0.750  0.250  0.750
Cu  0.750  0.750  0.250
Ru  0.000  0.000  0.500
Ru  0.000  0.500  0.000
Ru  0.500  0.000  0.000
Ru  0.500  0.500  0.500
O  0.057  0.749  0.924
O  0.057  0.751  0.576
O  0.076  0.557  0.249
O  0.076  0.943  0.251
O  0.249  0.076  0.557
O  0.249  0.424  0.943
O  0.251  0.076  0.943
O  0.251  0.424  0.557
O  0.424  0.557  0.251
O  0.424  0.943  0.249
O  0.443  0.749  0.576
O  0.443  0.751  0.924
O  0.557  0.249  0.076
O  0.557  0.251  0.424
O  0.576  0.057  0.751
O  0.576  0.443  0.749
O  0.749  0.576  0.443
O  0.749  0.924  0.057
O  0.751  0.576  0.057
O  0.751  0.924  0.443
O  0.924  0.057  0.749
O  0.924  0.443  0.751
O  0.943  0.249  0.424
O  0.943  0.251  0.076

Entry 2:
For Ac2Pm3Pr, DFT lattice parameters and positions (PBE) gives the calculated powder X-ray diffraction pattern in this record (copper Kα).
Neutral-atom scattering factors, no anomalous dispersion.

Main lines, by intensity (2θ from 10° to 90°):
2θ (°), d (Å), I (rel.)
29.86, 2.993, 100
29.70, 3.008, 28
52.99, 1.728, 24
29.94, 2.984, 23
52.81, 1.734, 21
42.68, 2.118, 17
59.30, 1.558, 16
38.86, 2.318, 16
59.22, 1.560, 10
24.39, 3.649, 9

Structure:
Cell lengths 7.298, 10.368, 6.016 Å; angles 90.00, 90.00, 90.00 degrees
Fractional coordinates of all 12 atoms:
Ac  0.249  0.166  0.000
Ac  0.251  0.666  0.500
Ac  0.749  0.334  0.500
Ac  0.751  0.834  0.000
Pm  0.000  0.000  0.500
Pm  0.250  0.332  0.500
Pm  0.250  0.832  0.000
Pm  0.500  0.500  0.000
Pm  0.750  0.168  0.000
Pm  0.750  0.668  0.500
Pr  0.000  0.500  0.000
Pr  0.500  0.000  0.500

Entry 3:
For NdCdF, DFT lattice parameters and positions (PBE) gives the calculated powder X-ray diffraction pattern in this record (copper Kα).
Neutral-atom scattering factors, no anomalous dispersion.

Main lines, by intensity (2θ from 10° to 90°):
2θ (°), d (Å), I (rel.)
34.03, 2.634, 100
28.28, 3.155, 46
18.55, 4.783, 27
30.95, 2.889, 25
47.72, 1.906, 19
37.61, 2.391, 14
60.10, 1.539, 12
28.93, 3.087, 12
37.98, 2.369, 12
61.96, 1.498, 11

Structure:
Cell lengths 14.348, 3.647, 3.647 Å; angles 59.86, 90.00, 90.00 degrees
Fractional coordinates of all 6 atoms:
Nd  0.180  0.000  0.000
Nd  0.820  0.000  0.000
Cd  0.000  0.333  0.333
Cd  0.500  0.104  0.104
F  0.271  0.333  0.333
F  0.729  0.333  0.333

What did the third record say?
For NdCdF, DFT lattice parameters and positions (PBE) gives the calculated powder X-ray diffraction pattern in this record (copper Kα).
Neutral-atom scattering factors, no anomalous dispersion.

Main lines, by intensity (2θ from 10° to 90°):
2θ (°), d (Å), I (rel.)
34.03, 2.634, 100
28.28, 3.155, 46
18.55, 4.783, 27
30.95, 2.889, 25
47.72, 1.906, 19
37.61, 2.391, 14
60.10, 1.539, 12
28.93, 3.087, 12
37.98, 2.369, 12
61.96, 1.498, 11

Structure:
Cell lengths 14.348, 3.647, 3.647 Å; angles 59.86, 90.00, 90.00 degrees
Fractional coordinates of all 6 atoms:
Nd  0.180  0.000  0.000
Nd  0.820  0.000  0.000
Cd  0.000  0.333  0.333
Cd  0.500  0.104  0.104
F  0.271  0.333  0.333
F  0.729  0.333  0.333